(1)
The following is a computed powder diffractogram of Nb2BTe. It was derived from DFT lattice parameters and positions (GGA-PBE), using Cu Kα.

Unit cell a=5.456 b=5.456 c=11.670 alpha=90.00 beta=90.00 gamma=90.00
Space group I-42d (No. 122)
One atom of each set of equivalent atoms:
Nb 0.144 0.250 0.125 [8 per cell]
B 0.000 0.000 0.000 [4 per cell]
Te 0.000 0.000 0.500 [4 per cell]

Top 10 peaks for 2θ from 10° to 80°, most intense first:
2θ (°)  I_rel
27.7  100.0
37.7  62.2
28.2  47.1
45.5  39.0
52.7  16.0
42.1  15.9
66.3  15.0
50.8  13.0
43.8  12.9
55.5  12.7

(2)
The following is a computed powder diffractogram of Ti2NbB2. It was derived from DFT lattice parameters and positions (GGA-PBE), using Cu Kα.

Unit cell a=4.559 b=3.150 c=9.047 alpha=90.00 beta=93.00 gamma=90.00
Space group P2_1/m (No. 11)
One atom of each set of equivalent atoms:
Ti 0.127 0.250 0.110 [2 per cell]
Ti 0.238 0.250 0.427 [2 per cell]
Nb 0.344 0.250 0.776 [2 per cell]
B 0.258 0.750 0.599 [2 per cell]
B 0.399 0.750 0.981 [2 per cell]

Top 10 peaks for 2θ from 10° to 80°, most intense first:
2θ (°)  I_rel
34.6  100.0
41.5  94.9
34.9  41.8
40.4  38.9
39.6  38.2
36.6  34.5
54.5  28.3
35.8  23.2
28.6  20.4
36.4  20.1